# Ba8Mn3N8
Simulated powder diffractogram, Cu Kα. Input: a crystal structure in Alexandria, relaxed with PBE.

a = 19.9103 Å, b = 5.6954 Å, c = 7.9653 Å
α = 90.00°, β = 106.45°, γ = 90.00°
Space group C2/m (No. 12)
One atom of each set of equivalent atoms:
Ba1 0.0282 0.0000 0.2694 (multiplicity 4)
Ba2 0.1022 0.5000 0.9469 (multiplicity 4)
Ba3 0.1673 0.5000 0.4686 (multiplicity 4)
Ba4 0.2014 0.0000 0.8017 (multiplicity 4)
Mn1 0.0000 0.5000 0.5000 (multiplicity 2)
Mn2 0.1858 0.0000 0.1997 (multiplicity 4)
N1 0.0211 0.5000 0.3039 (multiplicity 4)
N2 0.1104 0.0000 0.0207 (multiplicity 4)
N3 0.1786 0.0000 0.4095 (multiplicity 4)
N4 0.2310 0.5000 0.8341 (multiplicity 4)

Peak list (6 most intense, 15 to 90 degrees two-theta, in order of falling intensity)
two_theta, I (rel.), (hkl)
31.4, 100, 0 2 0
29.6, 71, 1 1 2
27.8, 68, 5 1 -1
28.1, 59, 5 1 0
27.4, 48, 1 1 -2
25.9, 48, 3 1 1